Starting from a crystal structure in Alexandria, relaxed with GGA+U, the powder diffractogram of Li4Co5SbO12 was simulated for Cu Ka.
Lines closer than 0.1° are merged.

The 10 most intense peaks (2θ from 5° to 70°), by angle:
- 2θ 17.41, I = 100.0, hkl 0 0 2
- 2θ 36.45, I = 13.8, hkl 1 3 -1
- 2θ 37.26, I = 17.5, hkl 1 3 1
- 2θ 38.65, I = 8.9, hkl 2 0 -2
- 2θ 41.65, I = 8.9, hkl 2 0 2
- 2θ 43.85, I = 16.6, hkl 1 3 -3
- 2θ 45.91, I = 13.9, hkl 1 3 3
- 2θ 56.88, I = 8.8, hkl 1 3 -5
- 2θ 59.73, I = 7.5, hkl 1 3 5
- 2θ 64.37, I = 8.2, hkl 3 3 -1

Crystal structure
```
data_Li4Co5SbO12
_symmetry_space_group_name_H-M 'C 1 2/m 1'
_symmetry_Int_Tables_number 12
_cell_length_a 5.022
_cell_length_b 8.713
_cell_length_c 10.229
_cell_angle_alpha 90.00
_cell_angle_beta 95.19
_cell_angle_gamma 90.00
loop_
_symmetry_equiv_pos_as_xyz
'x,y,z'
'-x,-y,-z'
'-x,y,-z'
'x,-y,z'
'x+1/2,y+1/2,z'
'-x+1/2,-y+1/2,-z'
'-x+1/2,y+1/2,-z'
'x+1/2,-y+1/2,z'
loop_
_atom_site_label
_atom_site_type_symbol
_atom_site_fract_x
_atom_site_fract_y
_atom_site_fract_z
Li1 Li 0.204 0.168 0.205
Co1 Co 0.000 0.000 0.000
Co2 Co 0.000 0.165 0.500
Co3 Co 0.000 0.335 0.000
Sb1 Sb 0.000 0.500 0.500
O1 O 0.145 0.170 0.902
O2 O 0.155 0.500 0.900
O3 O 0.171 0.000 0.598
O4 O 0.193 0.327 0.601
```